No. 1
Structure and calculated X-ray diffraction stick pattern of AcDy8Er3 (a GGA-PBE-relaxed structure; Cu Kα (weighted mean of Kα1 and Kα2)).
Peak positions follow from Bragg's law for the DFT cell and can differ from measured ones.

Crystal structure
abc: 8.4841 8.4841 8.4841
angles: 99.92 95.91 136.45
Positions (direct):
Ac 0.0000 0.0000 0.0000
Dy 0.4202 0.3331 0.4227
Dy 0.4202 0.9975 0.0871
Dy 0.4955 0.3253 0.8299
Dy 0.4955 0.6656 0.1701
Dy 0.9104 0.3331 0.9129
Dy 0.9104 0.9975 0.5773
Dy 0.9983 0.3352 0.3369
Dy 0.9983 0.6614 0.6631
Er 0.4085 0.6616 0.7469
Er 0.4957 0.9957 0.5000
Er 0.9147 0.6616 0.2531

Top 10 peaks for 2θ = 10–90°, low angle first:
2θ/deg  I_rel
28.3  24
31.5  24
32.5  100
42.9  16
50.2  20
56.7  21
60.4  23
61.1  17
82.8  9
87.1  8

No. 2
Structure and calculated X-ray diffraction stick pattern of Ac3DyEr (a GGA-PBE-relaxed structure; Cu Kα (weighted mean of Kα1 and Kα2)).
Peak positions follow from Bragg's law for the DFT cell and can differ from measured ones.

Crystal structure
abc: 6.4984 9.3704 13.2356
angles: 90.00 90.00 90.00
Positions (direct):
Ac 0.0887 0.1732 0.0740
Ac 0.0887 0.3268 0.4260
Ac 0.1406 0.2500 0.7500
Ac 0.3594 0.7500 0.7500
Ac 0.4113 0.6732 0.4260
Ac 0.4113 0.8268 0.0740
Ac 0.5887 0.1732 0.9260
Ac 0.5887 0.3268 0.5740
Ac 0.6406 0.2500 0.2500
Ac 0.8594 0.7500 0.2500
Ac 0.9113 0.6732 0.5740
Ac 0.9113 0.8268 0.9260
Dy 0.2500 0.0000 0.5564
Dy 0.2500 0.5000 0.9436
Dy 0.7500 0.0000 0.4436
Dy 0.7500 0.5000 0.0564
Er 0.2500 0.0000 0.3064
Er 0.2500 0.5000 0.1936
Er 0.7500 0.0000 0.6936
Er 0.7500 0.5000 0.8064

Top 10 peaks for 2θ = 10–90°, low angle first:
2θ/deg  I_rel
24.4  33
26.2  100
27.1  26
29.1  57
29.4  62
29.9  28
31.1  82
31.8  51
46.7  30
58.9  28